Calculated powder diffractogram
Compound: La2Si3Ge
Radiation: λ = 1.5418 Å (Cu Kα)
Structure: the GGA-PBE geometry in Alexandria
Lines closer than 0.1° are merged.

Cell and atoms:
```
data_La2Si3Ge
_chemical_formula_sum 'La2 Si3 Ge1'
_cell_length_a 4.0630
_cell_length_b 4.3378
_cell_length_c 7.6226
_cell_angle_alpha 90.00
_cell_angle_beta 90.00
_cell_angle_gamma 90.00
_symmetry_space_group_name_H-M 'P m m 2'
_symmetry_Int_Tables_number 25
loop_
_symmetry_equiv_pos_as_xyz
'x,y,z'
'-x,-y,z'
'-x,y,z'
'x,-y,z'
loop_
_atom_site_label
_atom_site_type_symbol
_atom_site_fract_x
_atom_site_fract_y
_atom_site_fract_z
_atom_site_occupancy
La1 La 0.0000 0.0000 0.0000 1
La2 La 0.5000 0.0000 0.4892 1
Si1 Si 0.0000 0.5000 0.3219 1
Si2 Si 0.5000 0.5000 0.1604 1
Si3 Si 0.5000 0.5000 0.8452 1
Ge1 Ge 0.0000 0.5000 0.6598 1
```

Most intense lines, 2θ from 10° to 80°, low angle first:
two_theta	intensity	index
23.3	17.7	0 0 2
24.8	28.4	1 0 1
31.2	52.6	0 1 2
32.4	100.0	1 1 1
41.6	18.2	0 2 0
41.9	35.2	1 0 3
44.6	14.9	2 0 0
52.4	12.9	0 1 4
55.5	20.3	2 1 2
60.6	23.4	1 2 3
62.7	10.7	2 2 0
70.2	10.5	1 3 1

Calculated powder diffractogram
Compound: Nd5Fe2I2
Radiation: λ = 1.5418 Å (Cu Kα)
Structure: the GGA-PBE geometry in Alexandria
Lines closer than 0.1° are merged.

Cell and atoms:
```
data_Nd5Fe2I2
_chemical_formula_sum 'Nd20 Fe8 I8'
_cell_length_a 16.9553
_cell_length_b 7.9368
_cell_length_c 7.9594
_cell_angle_alpha 90.00
_cell_angle_beta 90.00
_cell_angle_gamma 90.00
_symmetry_space_group_name_H-M 'C m c e'
_symmetry_Int_Tables_number 64
_symmetry_space_group_name_Hall '-C 2ac 2'
loop_
_atom_site_label
_atom_site_type_symbol
_atom_site_fract_x
_atom_site_fract_y
_atom_site_fract_z
_atom_site_occupancy
Nd1 Nd 0.0000 0.0000 0.0000 1
Nd2 Nd 0.1096 0.1626 0.3366 1
Fe1 Fe 0.0000 0.1132 0.6105 1
I1 I 0.2120 0.0000 0.0000 1
```

Most intense lines, 2θ from 10° to 80°, low angle first:
two_theta	intensity	index
10.4	14.0	2 0 0
25.1	21.7	0 2 1
25.6	21.0	1 1 2
29.7	17.3	3 1 2
30.8	100.0	4 0 2
31.8	24.0	0 2 2
32.9	38.0	4 2 1
36.1	58.6	1 3 1
36.6	29.6	5 1 2
51.4	15.2	0 4 2
56.1	29.6	5 3 3
61.5	13.0	9 1 3

Calculated powder diffractogram
Compound: CsLi2ZnI6
Radiation: λ = 1.5418 Å (Cu Kα)
Structure: the GGA-PBE geometry in Alexandria
Lines closer than 0.1° are merged.

Cell and atoms:
```
data_CsLi2ZnI6
_chemical_formula_sum 'Cs4 Li8 Zn4 I24'
_cell_length_a 15.1928
_cell_length_b 16.3853
_cell_length_c 9.4539
_cell_angle_alpha 90.00
_cell_angle_beta 120.12
_cell_angle_gamma 90.00
_symmetry_space_group_name_H-M 'C 1 2/c 1'
_symmetry_Int_Tables_number 15
loop_
_symmetry_equiv_pos_as_xyz
'x,y,z'
'-x,-y,-z'
'-x,y,-z+1/2'
'x,-y,z+1/2'
'x+1/2,y+1/2,z'
'-x+1/2,-y+1/2,-z'
'-x+1/2,y+1/2,-z+1/2'
'x+1/2,-y+1/2,z+1/2'
loop_
_atom_site_label
_atom_site_type_symbol
_atom_site_fract_x
_atom_site_fract_y
_atom_site_fract_z
_atom_site_occupancy
Cs1 Cs 0.0000 0.1287 0.2500 1
Li1 Li 0.1640 0.4176 0.0595 1
Zn1 Zn 0.0000 0.1755 0.7500 1
I1 I 0.1016 0.2570 0.0233 1
I2 I 0.1215 0.4714 0.3118 1
I3 I 0.1273 0.0741 0.7158 1
```

Most intense lines, 2θ from 10° to 80°, low angle first:
two_theta	intensity	index
10.9	29.8	1 1 -1
13.5	41.8	2 0 0
15.3	39.3	0 2 1
17.6	44.6	1 3 0
21.7	37.6	0 0 2
24.0	76.9	3 3 -1
24.3	100.0	0 2 2
25.3	41.8	1 3 -2
26.0	31.6	4 2 -1
27.1	80.2	4 0 0
28.1	33.1	1 5 0
29.1	31.3	3 1 -3

Calculated powder diffractogram
Compound: AsPt2Au2
Radiation: λ = 1.5418 Å (Cu Kα)
Structure: the GGA-PBE geometry in Alexandria
Lines closer than 0.1° are merged.

Cell and atoms:
```
data_AsPt2Au2
_chemical_formula_sum 'As2 Pt4 Au4'
_cell_length_a 6.6022
_cell_length_b 6.6022
_cell_length_c 4.1653
_cell_angle_alpha 90.00
_cell_angle_beta 90.00
_cell_angle_gamma 90.00
_symmetry_space_group_name_H-M 'P 4/m b m'
_symmetry_Int_Tables_number 127
_symmetry_space_group_name_Hall '-P 4 2ab'
loop_
_atom_site_label
_atom_site_type_symbol
_atom_site_fract_x
_atom_site_fract_y
_atom_site_fract_z
_atom_site_occupancy
As1 As 0.0000 0.0000 0.0000 1
Pt1 Pt 0.1507 0.3493 0.0000 1
Au1 Au 0.1534 0.6534 0.5000 1
```

Most intense lines, 2θ from 10° to 80°, low angle first:
two_theta	intensity	index
19.0	12.0	1 1 0
27.0	5.3	2 0 0
37.3	100.0	2 1 1
43.3	23.9	3 1 0
43.5	16.7	0 0 2
55.7	6.2	4 0 0
59.4	8.6	3 3 0
62.1	10.3	4 1 1
63.0	18.2	3 1 2
73.2	5.7	4 0 2
75.7	13.2	2 1 3
76.4	7.5	3 3 2